Entry 1:
Theoretical powder diffractogram
Compound: In3SiSe
Radiation: a wavelength of 1.5418 Å
Structure: a GGA-PBE-relaxed structure

The 9 most intense peaks (2θ = 5–70°), sorted by position:
- 16.91 deg, 5.244 Å, intensity 8
- 29.50 deg, 3.028 Å, intensity 100
- 34.19 deg, 2.622 Å, intensity 66
- 38.38 deg, 2.345 Å, intensity 4
- 49.14 deg, 1.854 Å, intensity 46
- 52.33 deg, 1.748 Å, intensity 2
- 58.36 deg, 1.581 Å, intensity 42
- 61.22 deg, 1.514 Å, intensity 16
- 64.01 deg, 1.455 Å, intensity 1

Atomic structure:
```
In3SiSe
1.0
5.244 0.000 0.000
0.000 5.244 0.000
0.000 0.000 5.244
In Si Se
3 1 1
Direct
0.000 0.000 0.500
0.000 0.500 0.000
0.500 0.000 0.000
0.000 0.000 0.000
0.500 0.500 0.500
```

***

Entry 2:
Theoretical powder diffractogram
Compound: Sc10Ge3Te3
Radiation: a wavelength of 1.5418 Å
Structure: a GGA-PBE-relaxed structure

The 10 most intense peaks (2θ = 5–70°), sorted by position:
- 12.39 deg, 7.142 Å, intensity 15
- 21.55 deg, 4.124 Å, intensity 17
- 26.49 deg, 3.365 Å, intensity 41
- 30.72 deg, 2.910 Å, intensity 28
- 33.19 deg, 2.699 Å, intensity 15
- 36.70 deg, 2.449 Å, intensity 77
- 37.82 deg, 2.379 Å, intensity 100
- 48.55 deg, 1.875 Å, intensity 26
- 58.58 deg, 1.576 Å, intensity 24
- 65.34 deg, 1.428 Å, intensity 15

Atomic structure:
```
Sc10Ge3Te3
1.0
8.247 0.000 0.000
-4.124 7.142 0.000
0.000 0.000 5.820
Sc Ge Te
10 3 3
Direct
0.000 0.246 0.000
0.000 0.754 0.500
0.246 0.000 0.000
0.246 0.246 0.500
0.333 0.667 0.241
0.333 0.667 0.759
0.667 0.333 0.241
0.667 0.333 0.759
0.754 0.000 0.500
0.754 0.754 0.000
0.000 0.615 0.000
0.385 0.385 0.000
0.615 0.000 0.000
0.000 0.391 0.500
0.391 0.000 0.500
0.609 0.609 0.500
```

***

Entry 3:
Theoretical powder diffractogram
Compound: TaSiS4
Radiation: a wavelength of 1.5418 Å
Structure: a GGA-PBE-relaxed structure

The 10 most intense peaks (2θ = 5–70°), sorted by position:
- 14.73 deg, 6.012 Å, intensity 69
- 15.52 deg, 5.710 Å, intensity 91
- 16.65 deg, 5.324 Å, intensity 100
- 21.46 deg, 4.140 Å, intensity 49
- 22.30 deg, 3.986 Å, intensity 53
- 26.12 deg, 3.411 Å, intensity 28
- 31.54 deg, 2.837 Å, intensity 24
- 33.68 deg, 2.661 Å, intensity 28
- 34.26 deg, 2.617 Å, intensity 25
- 43.72 deg, 2.071 Å, intensity 40

Atomic structure:
```
TaSiS4
1.0
6.011 0.000 0.000
0.000 6.019 0.000
0.000 0.000 11.421
Ta Si S
2 2 8
Direct
0.000 0.000 0.000
0.000 0.500 0.500
0.000 0.000 0.500
0.500 0.000 0.000
0.197 0.233 0.396
0.197 0.767 0.604
0.267 0.197 0.896
0.267 0.803 0.104
0.733 0.197 0.104
0.733 0.803 0.896
0.803 0.233 0.604
0.803 0.767 0.396
```

***

Entry 4:
Theoretical powder diffractogram
Compound: U3Tl4CdO12
Radiation: a wavelength of 1.5418 Å
Structure: a GGA-PBE-relaxed structure

The 10 most intense peaks (2θ = 5–70°), sorted by position:
- 14.36 deg, 6.166 Å, intensity 3
- 25.01 deg, 3.560 Å, intensity 2
- 28.96 deg, 3.083 Å, intensity 100
- 32.47 deg, 2.758 Å, intensity 1
- 38.63 deg, 2.331 Å, intensity 1
- 41.42 deg, 2.180 Å, intensity 26
- 51.33 deg, 1.780 Å, intensity 43
- 53.59 deg, 1.710 Å, intensity 1
- 60.01 deg, 1.542 Å, intensity 17
- 67.99 deg, 1.379 Å, intensity 19

Atomic structure:
```
U3Tl4CdO12
1.0
-4.360 4.360 4.360
4.360 -4.360 4.360
4.360 4.360 -4.360
U Tl Cd O
3 4 1 12
Direct
0.000 0.500 0.500
0.500 0.000 0.500
0.500 0.500 0.000
0.000 0.000 0.500
0.000 0.500 0.000
0.500 0.000 0.000
0.500 0.500 0.500
0.000 0.000 0.000
0.000 0.274 0.274
0.000 0.726 0.726
0.250 0.500 0.750
0.250 0.750 0.500
0.274 0.000 0.274
0.274 0.274 0.000
0.500 0.250 0.750
0.500 0.750 0.250
0.726 0.000 0.726
0.726 0.726 0.000
0.750 0.250 0.500
0.750 0.500 0.250
```

***

Entry 5:
Theoretical powder diffractogram
Compound: Dy10HoSc6
Radiation: a wavelength of 1.5418 Å
Structure: a GGA-PBE-relaxed structure

The 10 most intense peaks (2θ = 5–70°), sorted by position:
- 23.30 deg, 3.818 Å, intensity 22
- 29.18 deg, 3.061 Å, intensity 8
- 32.23 deg, 2.778 Å, intensity 19
- 33.19 deg, 2.699 Å, intensity 100
- 47.64 deg, 1.909 Å, intensity 16
- 51.07 deg, 1.789 Å, intensity 8
- 59.29 deg, 1.559 Å, intensity 25
- 62.27 deg, 1.491 Å, intensity 8
- 65.74 deg, 1.420 Å, intensity 7
- 69.66 deg, 1.350 Å, intensity 6

Atomic structure:
```
Dy10HoSc6
1.0
9.350 0.000 0.000
-4.675 8.098 0.000
0.000 0.000 6.613
Dy Ho Sc
10 1 6
Direct
0.000 0.281 0.319
0.000 0.719 0.681
0.281 0.000 0.319
0.281 0.281 0.681
0.333 0.667 0.000
0.333 0.667 0.500
0.667 0.333 0.000
0.667 0.333 0.500
0.719 0.000 0.681
0.719 0.719 0.319
0.000 0.000 0.000
0.000 0.368 0.818
0.000 0.632 0.182
0.368 0.000 0.818
0.368 0.368 0.182
0.632 0.000 0.182
0.632 0.632 0.818
```

***

Entry 6:
Theoretical powder diffractogram
Compound: SrPI
Radiation: a wavelength of 1.5418 Å
Structure: a GGA-PBE-relaxed structure

The 10 most intense peaks (2θ = 5–70°), sorted by position:
- 11.65 deg, 7.594 Å, intensity 47
- 26.74 deg, 3.334 Å, intensity 45
- 26.95 deg, 3.308 Å, intensity 100
- 29.26 deg, 3.052 Å, intensity 27
- 32.39 deg, 2.764 Å, intensity 27
- 34.05 deg, 2.633 Å, intensity 40
- 34.35 deg, 2.611 Å, intensity 28
- 38.33 deg, 2.348 Å, intensity 49
- 41.32 deg, 2.185 Å, intensity 20
- 43.88 deg, 2.063 Å, intensity 21

Atomic structure:
```
SrPI
1.0
-2.185 3.334 7.594
2.185 -3.334 7.594
2.185 3.334 -7.594
Sr P I
2 2 2
Direct
0.137 0.137 0.000
0.863 0.863 0.000
0.157 0.500 0.657
0.843 0.500 0.343
0.303 0.803 0.500
0.697 0.197 0.500
```